Record 1
For KLi4FeO5, DFT lattice parameters and positions (GGA+U) gives the calculated powder diffractogram in this record (λ = 1.5418 Å (Cu Kα)).
No peak broadening, texture or thermal motion is included.

Cell and atoms:
```
KLi4FeO5
1.0
5.681 0.000 0.000
2.783 5.136 0.000
1.556 -0.700 7.865
K Li Fe O
2 8 2 10
Direct
0.113 0.233 0.080 K
0.887 0.767 0.920 K
0.116 0.593 0.398 Li
0.159 0.004 0.378 Li
0.383 0.683 0.102 Li
0.406 0.404 0.618 Li
0.594 0.596 0.382 Li
0.617 0.317 0.898 Li
0.841 0.996 0.622 Li
0.884 0.407 0.602 Li
0.358 0.942 0.682 Fe
0.642 0.058 0.318 Fe
0.012 0.833 0.221 O
0.240 0.758 0.554 O
0.283 0.228 0.474 O
0.453 0.685 0.841 O
0.471 0.148 0.784 O
0.529 0.852 0.216 O
0.547 0.315 0.159 O
0.717 0.772 0.526 O
0.760 0.242 0.446 O
0.988 0.167 0.779 O
```

Most intense lines, 5 to 70 degrees two-theta, by intensity:
17.33 deg, intensity 100.0; 19.26 deg, intensity 63.9; 32.11 deg, intensity 57.9; 40.97 deg, intensity 47.2; 40.79 deg, intensity 47.0; 37.12 deg, intensity 39.9; 30.91 deg, intensity 39.0; 22.56 deg, intensity 32.4; 40.32 deg, intensity 28.9; 47.41 deg, intensity 28.0


Record 2
For K4Li5Fe2O8, DFT lattice parameters and positions (GGA+U) gives the calculated powder diffractogram in this record (λ = 1.5418 Å (Cu Kα)).
No peak broadening, texture or thermal motion is included.

Cell and atoms:
```
K4Li5Fe2O8
1.0
5.604 0.000 0.000
-0.061 8.913 0.000
-1.639 -0.263 10.756
K Li Fe O
8 10 4 16
Direct
0.000 0.000 0.000 K
0.078 0.253 0.513 K
0.231 0.518 0.773 K
0.326 0.767 0.288 K
0.466 0.795 0.954 K
0.583 0.986 0.506 K
0.692 0.222 0.783 K
0.789 0.511 0.295 K
0.005 0.012 0.333 Li
0.102 0.247 0.208 Li
0.180 0.742 0.562 Li
0.283 0.230 0.932 Li
0.309 0.502 0.442 Li
0.497 0.274 0.336 Li
0.625 0.767 0.704 Li
0.706 0.287 0.069 Li
0.819 0.512 0.941 Li
0.858 0.731 0.130 Li
0.109 0.977 0.696 Fe
0.242 0.476 0.088 Fe
0.578 0.056 0.189 Fe
0.718 0.529 0.581 Fe
0.018 0.542 0.532 O
0.027 0.317 0.018 O
0.072 0.657 0.042 O
0.086 0.961 0.520 O
0.182 0.172 0.751 O
0.280 0.447 0.264 O
0.292 0.813 0.732 O
0.307 0.079 0.275 O
0.499 0.675 0.519 O
0.519 0.095 0.019 O
0.525 0.466 0.012 O
0.574 0.357 0.504 O
0.741 0.556 0.750 O
0.751 0.872 0.225 O
0.792 0.211 0.263 O
0.832 0.941 0.755 O
```

Most intense lines, 5 to 70 degrees two-theta, by intensity:
34.11 deg, intensity 100.0; 21.74 deg, intensity 66.1; 19.93 deg, intensity 62.2; 33.32 deg, intensity 60.2; 26.23 deg, intensity 57.6; 34.46 deg, intensity 50.2; 33.95 deg, intensity 48.4; 33.55 deg, intensity 48.3; 33.79 deg, intensity 43.6; 34.62 deg, intensity 42.7


Record 3
For K2LiFeO3, DFT lattice parameters and positions (GGA+U) gives the calculated powder diffractogram in this record (λ = 1.5418 Å (Cu Kα)).
No peak broadening, texture or thermal motion is included.

Cell and atoms:
```
K2LiFeO3
1.0
3.037 -5.339 0.000
3.037 5.339 0.000
0.000 0.000 6.642
K Li Fe O
4 2 2 6
Direct
0.250 0.250 0.500 K
0.250 0.750 0.840 K
0.750 0.250 0.160 K
0.750 0.750 0.500 K
0.250 0.250 0.000 Li
0.750 0.750 0.000 Li
0.250 0.750 0.322 Fe
0.750 0.250 0.678 Fe
0.000 0.500 0.500 O
0.100 0.900 0.170 O
0.400 0.600 0.170 O
0.500 0.000 0.500 O
0.600 0.400 0.830 O
0.900 0.100 0.830 O
```

Most intense lines, 5 to 70 degrees two-theta, by intensity:
39.99 deg, intensity 100.0; 33.96 deg, intensity 95.4; 16.60 deg, intensity 76.7; 40.24 deg, intensity 72.7; 31.83 deg, intensity 71.9; 33.57 deg, intensity 64.3; 21.50 deg, intensity 60.3; 13.33 deg, intensity 55.4; 31.73 deg, intensity 49.4; 53.37 deg, intensity 35.3


Record 4
For K2Li2FeO4, DFT lattice parameters and positions (GGA+U) gives the calculated powder diffractogram in this record (λ = 1.5418 Å (Cu Kα)).
No peak broadening, texture or thermal motion is included.

Cell and atoms:
```
K2Li2FeO4
1.0
5.542 0.000 0.000
0.000 9.104 0.000
-3.972 0.000 10.492
K Li Fe O
8 8 4 16
Direct
0.209 0.001 0.357 K
0.209 0.499 0.857 K
0.267 0.248 0.133 K
0.267 0.252 0.633 K
0.733 0.748 0.367 K
0.733 0.752 0.867 K
0.791 0.501 0.143 K
0.791 0.999 0.643 K
0.120 0.747 0.196 Li
0.120 0.753 0.696 Li
0.140 0.013 0.926 Li
0.140 0.487 0.426 Li
0.860 0.513 0.574 Li
0.860 0.987 0.074 Li
0.880 0.247 0.304 Li
0.880 0.253 0.804 Li
0.391 0.707 0.554 Fe
0.391 0.793 0.054 Fe
0.609 0.207 0.946 Fe
0.609 0.293 0.446 Fe
0.220 0.568 0.617 O
0.220 0.932 0.117 O
0.237 0.691 0.377 O
0.237 0.809 0.877 O
0.255 0.205 0.879 O
0.255 0.295 0.379 O
0.290 0.621 0.098 O
0.290 0.879 0.598 O
0.710 0.121 0.402 O
0.710 0.379 0.902 O
0.745 0.705 0.621 O
0.745 0.795 0.121 O
0.763 0.191 0.123 O
0.763 0.309 0.623 O
0.780 0.068 0.883 O
0.780 0.432 0.383 O
```

Most intense lines, 5 to 70 degrees two-theta, by intensity:
34.17 deg, intensity 100.0; 33.81 deg, intensity 79.3; 21.69 deg, intensity 68.7; 19.50 deg, intensity 68.5; 34.49 deg, intensity 60.2; 34.61 deg, intensity 49.5; 30.67 deg, intensity 41.0; 26.05 deg, intensity 39.8; 44.28 deg, intensity 36.3; 16.90 deg, intensity 32.1


Record 5
For K8Li13Fe4O16, DFT lattice parameters and positions (GGA+U) gives the calculated powder diffractogram in this record (λ = 1.5418 Å (Cu Kα)).
No peak broadening, texture or thermal motion is included.

Cell and atoms:
```
K8Li13Fe4O16
1.0
5.698 0.000 0.000
0.464 8.801 0.000
1.457 -0.061 10.857
K Li Fe O
8 13 4 16
Direct
0.000 0.000 0.000 K
0.012 0.688 0.535 K
0.244 0.937 0.326 K
0.283 0.189 0.789 K
0.474 0.693 0.036 K
0.563 0.435 0.524 K
0.753 0.381 0.875 K
0.766 0.179 0.297 K
0.032 0.693 0.884 Li
0.078 0.426 0.347 Li
0.114 0.466 0.696 Li
0.222 0.462 0.991 Li
0.241 0.191 0.486 Li
0.340 0.944 0.611 Li
0.467 0.462 0.253 Li
0.560 0.957 0.882 Li
0.565 0.683 0.372 Li
0.670 0.892 0.164 Li
0.712 0.923 0.479 Li
0.838 0.438 0.123 Li
0.948 0.909 0.741 Li
0.342 0.224 0.125 Fe
0.472 0.715 0.738 Fe
0.821 0.147 0.624 Fe
0.983 0.667 0.233 Fe
0.030 0.986 0.556 O
0.074 0.279 0.043 O
0.258 0.622 0.324 O
0.267 0.882 0.801 O
0.276 0.244 0.303 O
0.301 0.535 0.804 O
0.479 0.019 0.076 O
0.512 0.401 0.082 O
0.514 0.743 0.565 O
0.540 0.122 0.549 O
0.755 0.740 0.805 O
0.764 0.857 0.311 O
0.765 0.100 0.794 O
0.773 0.488 0.307 O
0.972 0.656 0.056 O
0.997 0.331 0.598 O
```

Most intense lines, 5 to 70 degrees two-theta, by intensity:
33.85 deg, intensity 100.0; 33.03 deg, intensity 61.2; 21.67 deg, intensity 33.8; 20.18 deg, intensity 33.5; 20.82 deg, intensity 33.3; 31.09 deg, intensity 25.4; 16.72 deg, intensity 22.9; 33.68 deg, intensity 22.5; 31.63 deg, intensity 22.4; 43.35 deg, intensity 21.9